(1)
Starting from a structure optimized by DFT (GGA-PBE), the powder diffraction line list of CuH2N2F4 was computed for Cu Kα (λ = 1.5418 Å).
Lines closer than 0.1° are merged.

Cell and atoms:
```
data_CuH2N2F4
_chemical_formula_sum 'Cu4 H8 N8 F16'
_symmetry_space_group_name_H-M 'C m c e'
_symmetry_Int_Tables_number 64
_symmetry_space_group_name_Hall '-C 2ac 2'
_cell_length_a 12.9092
_cell_length_b 5.8501
_cell_length_c 5.8362
_cell_angle_alpha 90.00
_cell_angle_beta 90.00
_cell_angle_gamma 90.00
loop_
_atom_site_label
_atom_site_fract_x
_atom_site_fract_y
_atom_site_fract_z
_atom_site_occupancy
Cu1 0.0000 0.0000 0.0000 1
H1 0.2298 0.0000 0.5000 1
N1 0.1466 0.0000 0.5000 1
F1 0.0000 0.2169 0.2172 1
F2 0.1415 0.0000 0.0000 1
```

Largest 10 diffraction maxima, in order of rising 2θ, 10° ≤ 2θ ≤ 90°:
2θ/deg  I_rel
13.72  100
22.60  96
29.98  30
30.60  40
41.23  12
41.99  16
43.82  36
46.14  16
49.85  19
62.31  15


(2)
Starting from a structure optimized by DFT (GGA-PBE), the powder diffraction line list of Sm3MnAlS7 was computed for Cu Kα (λ = 1.5418 Å).
Lines closer than 0.1° are merged.

Cell and atoms:
```
data_Sm3MnAlS7
_chemical_formula_sum 'Sm6 Mn2 Al2 S14'
_symmetry_space_group_name_H-M 'P 63'
_symmetry_Int_Tables_number 173
_cell_length_a 9.8662
_cell_length_b 9.8662
_cell_length_c 6.1441
_cell_angle_alpha 90.00
_cell_angle_beta 90.00
_cell_angle_gamma 120.00
loop_
_symmetry_equiv_pos_as_xyz
'x,y,z'
'x-y,x,z+1/2'
'-y,x-y,z'
'-x,-y,z+1/2'
'-x+y,-x,z'
'y,-x+y,z+1/2'
loop_
_atom_site_label
_atom_site_fract_x
_atom_site_fract_y
_atom_site_fract_z
_atom_site_occupancy
Sm1 0.1492 0.3776 0.0000 1
Mn1 0.0000 0.0000 0.2923 1
Al1 0.3333 0.6667 0.4227 1
S1 0.0951 0.5744 0.2715 1
S2 0.0987 0.2416 0.5670 1
S3 0.3333 0.6667 0.7874 1
```

Largest 10 diffraction maxima, in order of rising 2θ, 10° ≤ 2θ ≤ 90°:
2θ/deg  I_rel
17.78  50
25.39  100
27.62  40
34.72  43
36.01  46
36.43  38
40.53  35
40.81  32
48.79  28
51.20  28


(3)
Starting from a structure optimized by DFT (GGA-PBE), the powder diffraction line list of RbAlH4 was computed for Cu Kα (λ = 1.5418 Å).
Lines closer than 0.1° are merged.

Cell and atoms:
```
data_RbAlH4
_chemical_formula_sum 'Rb4 Al4 H16'
_symmetry_space_group_name_H-M 'C m c 21'
_symmetry_Int_Tables_number 36
_cell_length_a 3.8130
_cell_length_b 14.9990
_cell_length_c 6.5104
_cell_angle_alpha 90.00
_cell_angle_beta 90.00
_cell_angle_gamma 90.00
loop_
_symmetry_equiv_pos_as_xyz
'x,y,z'
'-x,-y,z+1/2'
'-x,y,z'
'x,-y,z+1/2'
'x+1/2,y+1/2,z'
'-x+1/2,-y+1/2,z+1/2'
'-x+1/2,y+1/2,z'
'x+1/2,-y+1/2,z+1/2'
loop_
_atom_site_label
_atom_site_fract_x
_atom_site_fract_y
_atom_site_fract_z
_atom_site_occupancy
Rb1 0.0000 0.1204 0.0000 1
Al1 0.0000 0.3842 0.9780 1
H1 0.0000 0.1094 0.4866 1
H2 0.0000 0.3084 0.7986 1
H3 0.0000 0.3477 0.2129 1
H4 0.0000 0.4852 0.8798 1
```

Largest 10 diffraction maxima, in order of rising 2θ, 10° ≤ 2θ ≤ 90°:
2θ/deg  I_rel
18.04  73
23.73  81
27.40  55
27.76  100
32.58  83
36.55  50
40.69  35
48.67  21
50.85  27
51.81  21


(4)
Starting from a structure optimized by DFT (GGA-PBE), the powder diffraction line list of MgSi2 was computed for Cu Kα (λ = 1.5418 Å).
Lines closer than 0.1° are merged.

Cell and atoms:
```
data_MgSi2
_chemical_formula_sum 'Mg4 Si8'
_symmetry_space_group_name_H-M 'P 1'
_symmetry_Int_Tables_number 1
_cell_length_a 3.8743
_cell_length_b 5.4187
_cell_length_c 11.5879
_cell_angle_alpha 77.41
_cell_angle_beta 81.15
_cell_angle_gamma 69.43
loop_
_symmetry_equiv_pos_as_xyz
'x,y,z'
loop_
_atom_site_label
_atom_site_fract_x
_atom_site_fract_y
_atom_site_fract_z
_atom_site_occupancy
Mg1 0.0000 0.0000 0.0000 1
Mg2 0.0553 0.5603 0.2727 1
Mg3 0.2460 0.7255 0.7563 1
Mg4 0.4448 0.5554 0.5203 1
Si1 0.1499 0.1669 0.4912 1
Si2 0.2613 0.4277 0.0484 1
Si3 0.3365 0.9536 0.3208 1
Si4 0.5512 0.0743 0.7973 1
Si5 0.7058 0.9541 0.5944 1
Si6 0.7313 0.6014 0.9245 1
Si7 0.7890 0.1529 0.2123 1
Si8 0.9350 0.3539 0.7505 1
```

Largest 10 diffraction maxima, in order of rising 2θ, 10° ≤ 2θ ≤ 90°:
2θ/deg  I_rel
26.86  13
31.76  28
35.94  21
38.23  13
39.14  100
39.65  22
42.31  15
42.87  14
46.91  33
81.84  12